This entry pairs a crystal structure of Sr3Pt4Pb7 with its theoretical powder diffraction line list. Radiation: CuKα. Structure: DFT lattice parameters and positions (GGA-PBE).
Kinematic intensities with the Lorentz-polarization factor, no thermal factor.

```
data_Sr3Pt4Pb7
_chemical_formula_sum 'Sr6 Pt8 Pb14'
_symmetry_space_group_name_H-M 'C 1 2/m 1'
_symmetry_Int_Tables_number 12
_cell_length_a 17.9336
_cell_length_b 4.7460
_cell_length_c 10.5736
_cell_angle_alpha 90.00
_cell_angle_beta 123.68
_cell_angle_gamma 90.00
loop_
_symmetry_equiv_pos_as_xyz
'x,y,z'
'-x,-y,-z'
'-x,y,-z'
'x,-y,z'
'x+1/2,y+1/2,z'
'-x+1/2,-y+1/2,-z'
'-x+1/2,y+1/2,-z'
'x+1/2,-y+1/2,z'
loop_
_atom_site_label
_atom_site_type_symbol
_atom_site_fract_x
_atom_site_fract_y
_atom_site_fract_z
Sr1 Sr 0.0000 0.0000 0.0000
Sr2 Sr 0.1878 0.5000 0.6980
Pt1 Pt 0.1230 0.0000 0.8519
Pt2 Pt 0.1629 0.5000 0.2788
Pb1 Pb 0.0000 0.0000 0.5000
Pb2 Pb 0.0027 0.5000 0.2777
Pb3 Pb 0.1650 0.0000 0.4280
Pb4 Pb 0.1857 0.5000 0.0390
```

Peak list (10 most intense, 10° ≤ 2θ ≤ 80°, in order of falling intensity)
2theta	intensity
30.6	100
31.5	75
37.9	75
16.8	51
36.1	51
39.3	49
53.4	34
34.3	30
35.5	28
20.5	27

This entry pairs a crystal structure of Mg2H5Ir2 with its theoretical powder diffraction line list. Radiation: CuKα. Structure: DFT lattice parameters and positions (GGA-PBE).
Kinematic intensities with the Lorentz-polarization factor, no thermal factor.

```
data_Mg2H5Ir2
_chemical_formula_sum 'Mg2 H5 Ir2'
_symmetry_space_group_name_H-M 'P 1'
_symmetry_Int_Tables_number 1
_cell_length_a 3.0194
_cell_length_b 4.2298
_cell_length_c 7.2944
_cell_angle_alpha 99.97
_cell_angle_beta 101.89
_cell_angle_gamma 90.09
loop_
_symmetry_equiv_pos_as_xyz
'x,y,z'
loop_
_atom_site_label
_atom_site_type_symbol
_atom_site_fract_x
_atom_site_fract_y
_atom_site_fract_z
Mg1 Mg 0.0000 0.0000 0.0000
Mg2 Mg 0.2760 0.8702 0.5520
H1 H 0.1356 0.3635 0.2692
H2 H 0.3977 0.2786 0.7993
H3 H 0.5836 0.8450 0.1676
H4 H 0.7529 0.5211 0.5068
H5 H 0.9850 0.4995 0.9750
Ir1 Ir 0.6611 0.1822 0.3221
Ir2 Ir 0.8705 0.4424 0.7436
```

Peak list (10 most intense, 10° ≤ 2θ ≤ 80°, in order of falling intensity)
2theta	intensity
22.8	100
30.3	87
36.7	87
25.4	65
21.3	64
44.0	54
36.3	51
43.5	48
40.7	39
46.6	35

This entry pairs a crystal structure of TlHg5H with its theoretical powder diffraction line list. Radiation: CuKα. Structure: DFT lattice parameters and positions (GGA-PBE).
Kinematic intensities with the Lorentz-polarization factor, no thermal factor.

```
data_TlHg5H
_chemical_formula_sum 'Tl2 Hg10 H2'
_symmetry_space_group_name_H-M 'P -1'
_symmetry_Int_Tables_number 2
_cell_length_a 6.6563
_cell_length_b 6.7768
_cell_length_c 8.4270
_cell_angle_alpha 92.91
_cell_angle_beta 94.54
_cell_angle_gamma 112.83
loop_
_symmetry_equiv_pos_as_xyz
'x,y,z'
'-x,-y,-z'
loop_
_atom_site_label
_atom_site_type_symbol
_atom_site_fract_x
_atom_site_fract_y
_atom_site_fract_z
Tl1 Tl 0.1197 0.3084 0.3424
Hg1 Hg 0.1637 0.8194 0.3389
Hg2 Hg 0.2116 0.4910 0.9851
Hg3 Hg 0.2130 0.9911 0.9975
Hg4 Hg 0.3559 0.1913 0.6705
Hg5 Hg 0.3845 0.6967 0.6658
H1 H 0.5000 0.0000 0.0000
H2 H 0.5000 0.5000 0.0000
```

Peak list (10 most intense, 10° ≤ 2θ ≤ 80°, in order of falling intensity)
2theta	intensity
32.1	100
31.6	67
34.4	53
32.3	42
34.5	39
33.6	20
49.3	17
60.1	16
45.5	14
39.1	14

This entry pairs a crystal structure of Ho4Al5Ge6 with its theoretical powder diffraction line list. Radiation: CuKα. Structure: DFT lattice parameters and positions (GGA-PBE).
Kinematic intensities with the Lorentz-polarization factor, no thermal factor.

```
data_Ho4Al5Ge6
_chemical_formula_sum 'Ho16 Al20 Ge24'
_symmetry_space_group_name_H-M 'C m c 21'
_symmetry_Int_Tables_number 36
_cell_length_a 4.1216
_cell_length_b 19.9463
_cell_length_c 15.1339
_cell_angle_alpha 90.00
_cell_angle_beta 90.00
_cell_angle_gamma 90.00
loop_
_symmetry_equiv_pos_as_xyz
'x,y,z'
'-x,-y,z+1/2'
'-x,y,z'
'x,-y,z+1/2'
'x+1/2,y+1/2,z'
'-x+1/2,-y+1/2,z+1/2'
'-x+1/2,y+1/2,z'
'x+1/2,-y+1/2,z+1/2'
loop_
_atom_site_label
_atom_site_type_symbol
_atom_site_fract_x
_atom_site_fract_y
_atom_site_fract_z
Ho1 Ho 0.0000 0.0128 0.0000
Ho2 Ho 0.0000 0.0344 0.2756
Ho3 Ho 0.0000 0.1669 0.8156
Ho4 Ho 0.0000 0.1817 0.4514
Al1 Al 0.0000 0.1476 0.1341
Al2 Al 0.0000 0.3083 0.1274
Al3 Al 0.0000 0.3424 0.7845
Al4 Al 0.0000 0.3546 0.4861
Al5 Al 0.0000 0.4373 0.1986
Ge1 Ge 0.0000 0.1064 0.6214
Ge2 Ge 0.0000 0.2194 0.9998
Ge3 Ge 0.0000 0.2313 0.2644
Ge4 Ge 0.0000 0.4208 0.9154
Ge5 Ge 0.0000 0.4344 0.6326
Ge6 Ge 0.0000 0.4401 0.3636
```

Peak list (10 most intense, 10° ≤ 2θ ≤ 80°, in order of falling intensity)
2theta	intensity
36.0	100
32.4	50
31.2	47
43.9	43
11.7	31
29.6	30
33.4	29
31.8	29
22.0	29
49.1	26

This entry pairs a crystal structure of NbHgS4 with its theoretical powder diffraction line list. Radiation: CuKα. Structure: DFT lattice parameters and positions (GGA-PBE).
Kinematic intensities with the Lorentz-polarization factor, no thermal factor.

```
data_NbHgS4
_chemical_formula_sum 'Nb2 Hg2 S8'
_symmetry_space_group_name_H-M 'P -1'
_symmetry_Int_Tables_number 2
_cell_length_a 6.3179
_cell_length_b 7.5935
_cell_length_c 7.7628
_cell_angle_alpha 95.12
_cell_angle_beta 102.28
_cell_angle_gamma 104.44
loop_
_symmetry_equiv_pos_as_xyz
'x,y,z'
'-x,-y,-z'
loop_
_atom_site_label
_atom_site_type_symbol
_atom_site_fract_x
_atom_site_fract_y
_atom_site_fract_z
Nb1 Nb 0.2338 0.9998 0.0000
Hg1 Hg 0.2238 0.4494 0.4574
S1 S 0.0172 0.8673 0.2184
S2 S 0.0946 0.2801 0.0386
S3 S 0.4060 0.9144 0.7393
S4 S 0.4840 0.8126 0.1533
```

Peak list (10 most intense, 10° ≤ 2θ ≤ 80°, in order of falling intensity)
2theta	intensity
15.6	100
18.2	83
33.7	43
23.7	25
43.5	24
25.0	23
24.5	22
33.3	20
34.6	19
31.6	18

This entry pairs a crystal structure of Er3FeAg with its theoretical powder diffraction line list. Radiation: CuKα. Structure: DFT lattice parameters and positions (GGA-PBE).
Kinematic intensities with the Lorentz-polarization factor, no thermal factor.

```
data_Er3FeAg
_chemical_formula_sum 'Er12 Fe4 Ag4'
_symmetry_space_group_name_H-M 'C 1 2/m 1'
_symmetry_Int_Tables_number 12
_cell_length_a 9.9884
_cell_length_b 6.1154
_cell_length_c 8.7506
_cell_angle_alpha 90.00
_cell_angle_beta 117.55
_cell_angle_gamma 90.00
loop_
_symmetry_equiv_pos_as_xyz
'x,y,z'
'-x,-y,-z'
'-x,y,-z'
'x,-y,z'
'x+1/2,y+1/2,z'
'-x+1/2,-y+1/2,-z'
'-x+1/2,y+1/2,-z'
'x+1/2,-y+1/2,z'
loop_
_atom_site_label
_atom_site_type_symbol
_atom_site_fract_x
_atom_site_fract_y
_atom_site_fract_z
Er1 Er 0.0239 0.0000 0.2221
Er2 Er 0.1887 0.5000 0.8695
Er3 Er 0.2064 0.5000 0.3252
Fe1 Fe 0.0000 0.3180 0.0000
Ag1 Ag 0.0000 0.2762 0.5000
```

Peak list (10 most intense, 10° ≤ 2θ ≤ 80°, in order of falling intensity)
2theta	intensity
32.6	100
31.9	81
33.7	63
37.1	60
37.5	55
29.2	39
41.3	34
54.7	31
65.0	26
30.9	26